1.
Cs2NaCoC6N6: computed X-ray powder pattern (a wavelength of 1.5418 Å), based on a GGA-PBE-relaxed structure.
Lines closer than 0.1° are merged.

Structure:
Cell: 7.583 7.683 13.237 Å, 90.00 124.94 90.00°
Atoms (fractional coordinates):
Cs (0.242, 0.036, 0.250)
Cs (0.242, 0.464, 0.750)
Cs (0.758, 0.536, 0.250)
Cs (0.758, 0.964, 0.750)
Na (0.000, 0.000, 0.500)
Na (0.000, 0.500, 0.000)
Co (0.500, 0.000, 0.000)
Co (0.500, 0.500, 0.500)
C (0.283, 0.141, 0.983)
C (0.283, 0.359, 0.483)
C (0.338, 0.699, 0.479)
C (0.338, 0.801, 0.979)
C (0.367, 0.006, 0.829)
C (0.367, 0.494, 0.329)
C (0.633, 0.506, 0.671)
C (0.633, 0.994, 0.171)
C (0.662, 0.199, 0.021)
C (0.662, 0.301, 0.521)
C (0.717, 0.641, 0.517)
C (0.717, 0.859, 0.017)
N (0.145, 0.229, 0.972)
N (0.145, 0.271, 0.472)
N (0.236, 0.676, 0.965)
N (0.236, 0.824, 0.465)
N (0.286, 0.012, 0.722)
N (0.286, 0.488, 0.222)
N (0.714, 0.512, 0.778)
N (0.714, 0.988, 0.278)
N (0.764, 0.176, 0.535)
N (0.764, 0.324, 0.035)
N (0.855, 0.729, 0.528)
N (0.855, 0.771, 0.028)

Principal peaks in the range 10 to 90 degrees two-theta, in order of rising 2θ:
d (Å)	I_rel
3.829	100
3.792	21
3.108	17
2.698	27
2.215	20
2.196	18

=====

2.
DyCoC2: computed X-ray powder pattern (a wavelength of 1.5418 Å), based on a GGA-PBE-relaxed structure.
Lines closer than 0.1° are merged.

Structure:
Cell: 3.570 4.509 5.997 Å, 90.00 90.00 90.00°
Atoms (fractional coordinates):
Dy (0.000, 0.000, 0.000)
Dy (0.000, 0.500, 0.500)
Co (0.500, 0.000, 0.383)
Co (0.500, 0.500, 0.883)
C (0.500, 0.153, 0.694)
C (0.500, 0.347, 0.194)
C (0.500, 0.653, 0.194)
C (0.500, 0.847, 0.694)

Principal peaks in the range 10 to 90 degrees two-theta, in order of rising 2θ:
d (Å)	I_rel
3.604	35
2.999	21
2.536	100
2.296	26
2.254	18
1.827	19

=====

3.
Dy2Fe15Co2C: computed X-ray powder pattern (a wavelength of 1.5418 Å), based on a GGA-PBE-relaxed structure.
Lines closer than 0.1° are merged.

Structure:
Cell: 6.436 6.436 6.393 Å, 96.44 96.44 83.71°
Atoms (fractional coordinates):
Dy (0.160, 0.160, 0.349)
Dy (0.840, 0.840, 0.651)
Fe (0.000, 0.500, 0.000)
Fe (0.153, 0.645, 0.347)
Fe (0.157, 0.157, 0.845)
Fe (0.213, 0.787, 0.000)
Fe (0.217, 0.503, 0.717)
Fe (0.355, 0.847, 0.653)
Fe (0.497, 0.783, 0.283)
Fe (0.500, 0.000, 0.000)
Fe (0.500, 0.500, 0.500)
Fe (0.503, 0.217, 0.717)
Fe (0.645, 0.153, 0.347)
Fe (0.783, 0.497, 0.283)
Fe (0.787, 0.213, 0.000)
Fe (0.843, 0.843, 0.155)
Fe (0.847, 0.355, 0.653)
Co (0.405, 0.405, 0.095)
Co (0.595, 0.595, 0.905)
C (0.000, 0.000, 0.000)

Principal peaks in the range 10 to 90 degrees two-theta, in order of rising 2θ:
d (Å)	I_rel
2.965	63
2.367	68
2.137	97
2.122	69
2.117	100
2.051	86

=====

4.
Dy2Fe15Co2CN: computed X-ray powder pattern (a wavelength of 1.5418 Å), based on a GGA-PBE-relaxed structure.
Lines closer than 0.1° are merged.

Structure:
Cell: 6.440 6.454 6.494 Å, 83.32 83.13 82.62°
Atoms (fractional coordinates):
Dy (0.161, 0.151, 0.159)
Dy (0.839, 0.849, 0.841)
Fe (0.000, 0.500, 0.500)
Fe (0.152, 0.154, 0.643)
Fe (0.155, 0.648, 0.159)
Fe (0.213, 0.501, 0.785)
Fe (0.213, 0.786, 0.502)
Fe (0.351, 0.844, 0.841)
Fe (0.498, 0.219, 0.782)
Fe (0.500, 0.000, 0.500)
Fe (0.500, 0.500, 0.000)
Fe (0.502, 0.781, 0.218)
Fe (0.649, 0.156, 0.159)
Fe (0.787, 0.214, 0.498)
Fe (0.787, 0.499, 0.215)
Fe (0.845, 0.352, 0.841)
Fe (0.848, 0.846, 0.357)
Co (0.405, 0.406, 0.408)
Co (0.595, 0.594, 0.592)
C (0.000, 0.500, 0.000)
N (0.500, 0.000, 0.000)

Principal peaks in the range 10 to 90 degrees two-theta, in order of rising 2θ:
d (Å)	I_rel
2.152	62
2.145	61
2.136	81
2.126	99
2.121	83
2.080	100

=====

5.
ErCoC2: computed X-ray powder pattern (a wavelength of 1.5418 Å), based on a GGA-PBE-relaxed structure.
Lines closer than 0.1° are merged.

Structure:
Cell: 3.511 4.499 5.975 Å, 90.00 90.00 90.00°
Atoms (fractional coordinates):
Er (0.000, 0.000, 0.000)
Er (0.000, 0.500, 0.500)
Co (0.500, 0.000, 0.383)
Co (0.500, 0.500, 0.883)
C (0.500, 0.153, 0.694)
C (0.500, 0.347, 0.194)
C (0.500, 0.653, 0.194)
C (0.500, 0.847, 0.694)

Principal peaks in the range 10 to 90 degrees two-theta, in order of rising 2θ:
d (Å)	I_rel
3.594	37
2.987	22
2.512	100
2.275	26
2.250	19
1.821	19

=====

6.
ErCoC6N6: computed X-ray powder pattern (a wavelength of 1.5418 Å), based on a GGA-PBE-relaxed structure.
Lines closer than 0.1° are merged.

Structure:
Cell: 7.403 7.403 13.000 Å, 90.00 90.00 120.00°
Atoms (fractional coordinates):
Er (0.333, 0.667, 0.250)
Er (0.667, 0.333, 0.750)
Co (0.000, 0.000, 0.000)
Co (0.000, 0.000, 0.500)
C (0.119, 0.237, 0.084)
C (0.119, 0.237, 0.416)
C (0.119, 0.881, 0.084)
C (0.119, 0.881, 0.416)
C (0.237, 0.119, 0.584)
C (0.237, 0.119, 0.916)
C (0.763, 0.881, 0.084)
C (0.763, 0.881, 0.416)
C (0.881, 0.119, 0.584)
C (0.881, 0.119, 0.916)
C (0.881, 0.763, 0.584)
C (0.881, 0.763, 0.916)
N (0.192, 0.384, 0.137)
N (0.192, 0.384, 0.363)
N (0.192, 0.808, 0.137)
N (0.192, 0.808, 0.363)
N (0.384, 0.192, 0.637)
N (0.384, 0.192, 0.863)
N (0.616, 0.808, 0.137)
N (0.616, 0.808, 0.363)
N (0.808, 0.192, 0.637)
N (0.808, 0.192, 0.863)
N (0.808, 0.616, 0.637)
N (0.808, 0.616, 0.863)

Principal peaks in the range 10 to 90 degrees two-theta, in order of rising 2θ:
d (Å)	I_rel
5.750	100
4.565	52
3.702	22
2.577	20
2.442	23
2.382	18